Diffraction record for Li2BPPd6. The powder XRD pattern is computed, not measured: it uses a DFT-relaxed cell (PBE, Alexandria) and Cu Kα, 1.54184 Å.

Cell and atoms:
Cell lengths 5.508, 5.593, 5.616 Å; angles 71.34, 67.32, 73.28 degrees
Space group P-1 (No. 2)
Inequivalent atoms, fractional coordinates:
1 Li 0.222 0.291 0.302 [2 per cell]
2 B 0.000 0.000 0.000 [1 per cell]
3 P 0.500 0.500 0.500 [1 per cell]
4 Pd 0.149 0.335 0.836 [2 per cell]
5 Pd 0.275 0.862 0.669 [2 per cell]
6 Pd 0.312 0.816 0.172 [2 per cell]

The 12 most intense peaks (10 to 90 degrees two-theta), in order of falling intensity:
- 36.90 deg, I = 1000, hkl 2 1 0
- 41.93 deg, I = 921, hkl 2 0 2
- 35.72 deg, I = 857, hkl 0 1 2
- 35.79 deg, I = 855, hkl 1 2 0
- 20.61 deg, I = 817, hkl 1 0 1
- 43.69 deg, I = 683, hkl 2 2 2
- 42.07 deg, I = 653, hkl 1 -2 0
- 43.48 deg, I = 651, hkl 0 1 -2
- 35.98 deg, I = 542, hkl 2 0 0
- 26.97 deg, I = 536, hkl 1 -1 0
- 39.59 deg, I = 455, hkl 1 2 2
- 34.86 deg, I = 414, hkl 0 2 1

=====

Diffraction record for BaLa. The powder XRD pattern is computed, not measured: it uses a DFT-relaxed cell (PBE, Alexandria) and Cu Kα, 1.54184 Å.

Cell and atoms:
Cell lengths 14.772, 4.015, 7.185 Å; angles 90.00, 118.17, 90.00 degrees
Space group C2/m (No. 12)
Inequivalent atoms, fractional coordinates:
1 Ba 0.114 0.000 0.439 [4 per cell]
2 La 0.142 0.500 0.971 [4 per cell]

The 12 most intense peaks (10 to 90 degrees two-theta), in order of falling intensity:
- 29.03 deg, I = 1000, hkl 3 1 -1
- 28.83 deg, I = 917, hkl 1 1 1
- 27.40 deg, I = 634, hkl 4 0 0
- 28.18 deg, I = 460, hkl 0 0 2
- 28.57 deg, I = 399, hkl 4 0 -2
- 44.03 deg, I = 389, hkl 3 1 -3
- 25.41 deg, I = 372, hkl 1 1 -1
- 24.79 deg, I = 307, hkl 2 0 -2
- 52.26 deg, I = 283, hkl 1 1 3
- 37.57 deg, I = 276, hkl 6 0 -2
- 52.99 deg, I = 198, hkl 7 1 -3
- 53.64 deg, I = 194, hkl 4 2 0

=====

Diffraction record for Ce6PmS12. The powder XRD pattern is computed, not measured: it uses a DFT-relaxed cell (PBE, Alexandria) and Cu Kα, 1.54184 Å.

Cell and atoms:
Cell lengths 12.3540, 12.3540, 11.3290 Å; angles 90.00, 90.00, 120.00 degrees
Space group R-3 (No. 148, hexagonal axes)
Inequivalent atoms, fractional coordinates:
1 Ce 0.0489 0.7842 0.1479 [18 per cell]
2 Pm 0.0000 0.0000 0.5000 [3 per cell]
3 S 0.0356 0.8166 0.8963 [18 per cell]
4 S 0.0458 0.8283 0.3888 [18 per cell]

The 12 most intense peaks (10 to 90 degrees two-theta), in order of falling intensity:
- 23.36 deg, I = 1000, hkl 3 -1 1
- 38.56 deg, I = 437, hkl 4 1 0
- 38.82 deg, I = 410, hkl 3 -1 4
- 23.56 deg, I = 304, hkl 0 0 3
- 45.69 deg, I = 236, hkl 5 -4 3
- 27.09 deg, I = 217, hkl 1 2 2
- 45.57 deg, I = 160, hkl 2 4 1
- 45.91 deg, I = 136, hkl 1 2 5
- 55.87 deg, I = 101, hkl 2 4 4
- 69.94 deg, I = 89, hkl 8 -5 4
- 47.76 deg, I = 86, hkl 4 2 2
- 34.11 deg, I = 80, hkl 4 -1 2

=====

Diffraction record for CsDyTc2O8. The powder XRD pattern is computed, not measured: it uses a DFT-relaxed cell (PBE, Alexandria) and Cu Kα, 1.54184 Å.

Cell and atoms:
Cell lengths 6.0346, 6.0346, 8.4492 Å; angles 90.00, 90.00, 120.00 degrees
Space group P-3 (No. 147)
Inequivalent atoms, fractional coordinates:
1 Cs 0.0000 0.0000 0.0000 [1 per cell]
2 Dy 0.0000 0.0000 0.5000 [1 per cell]
3 Tc 0.3333 0.6667 0.7325 [2 per cell]
4 O 0.1701 0.3426 0.6612 [6 per cell]
5 O 0.3333 0.6667 0.9396 [2 per cell]

The 12 most intense peaks (10 to 90 degrees two-theta), in order of falling intensity:
- 27.14 deg, I = 1000, hkl 0 1 2
- 19.98 deg, I = 744, hkl 0 1 1
- 29.61 deg, I = 699, hkl 1 1 0
- 40.60 deg, I = 393, hkl 0 2 2
- 16.97 deg, I = 373, hkl 1 0 0
- 51.04 deg, I = 344, hkl 3 -2 2
- 52.91 deg, I = 270, hkl 1 1 4
- 68.43 deg, I = 147, hkl 3 1 2
- 52.53 deg, I = 138, hkl 3 0 0
- 47.26 deg, I = 134, hkl 1 2 1
- 61.46 deg, I = 126, hkl 2 2 0
- 70.01 deg, I = 115, hkl 0 3 4

=====

Which formula does entry 1 have? Li2BPPd6